This entry pairs a crystal structure of NaNdHfSnO6 with its calculated powder diffraction line list. Radiation: Cu Kα. Structure: a structure optimized by DFT (PBE).
No peak broadening, texture or thermal motion is included.

Peak list (8 most intense, 2θ from 5° to 70°, sorted by position)
18.85°, rel. 21
21.80°, rel. 17
31.02°, rel. 100
36.55°, rel. 12
44.44°, rel. 31
50.03°, rel. 7
55.18°, rel. 41
64.67°, rel. 19

Cell and atoms:
abc: 5.7657 5.7657 5.7657
angles: 60.00 60.00 60.00
Fractional positions:
Na (0.0000, 0.0000, 0.0000)
Nd (0.5000, 0.5000, 0.5000)
Hf (0.7500, 0.7500, 0.7500)
Sn (0.2500, 0.2500, 0.2500)
O (0.0003, 0.0003, 0.4997)
O (0.0003, 0.4997, 0.0003)
O (0.0003, 0.4997, 0.4997)
O (0.4997, 0.0003, 0.0003)
O (0.4997, 0.0003, 0.4997)
O (0.4997, 0.4997, 0.0003)